# LiGe2F8
Computed X-ray diffraction stick pattern, λ = 1.5418 Å (Cu Kα). Input: a DFT-relaxed cell (PBE, Alexandria).

Largest 10 diffraction maxima, in order of falling intensity, 2θ = 5–70°:
2theta, d_spacing, intensity
22.48, 3.954, 100
31.37, 2.852, 21
50.82, 1.797, 21
17.96, 4.940, 17
27.03, 3.299, 15
45.13, 2.009, 14
36.37, 2.470, 13
45.90, 1.977, 13
65.43, 1.426, 10
34.25, 2.618, 10

a = 5.704 Å, b = 5.704 Å, c = 6.598 Å
α = 90.00°, β = 90.00°, γ = 120.00°
Sites, in units of the cell vectors:
Li  0.000  0.000  0.000
Ge  0.333  0.667  0.713
Ge  0.667  0.333  0.287
F  0.167  0.333  0.814
F  0.167  0.833  0.814
F  0.333  0.167  0.186
F  0.333  0.667  0.443
F  0.667  0.333  0.557
F  0.667  0.833  0.814
F  0.833  0.167  0.186
F  0.833  0.667  0.186


# LaNd2BrO4
Computed X-ray diffraction stick pattern, λ = 1.5418 Å (Cu Kα). Input: a DFT-relaxed cell (PBE, Alexandria).

Largest 10 diffraction maxima, in order of falling intensity, 2θ = 5–70°:
2theta, d_spacing, intensity
28.75, 3.105, 100
53.71, 1.707, 35
30.96, 2.889, 31
49.51, 1.841, 25
44.35, 2.043, 19
59.54, 1.553, 10
62.59, 1.484, 10
37.64, 2.389, 10
9.25, 9.558, 8
64.52, 1.444, 6

a = 4.085 Å, b = 4.085 Å, c = 9.558 Å
α = 90.00°, β = 90.00°, γ = 90.00°
Sites, in units of the cell vectors:
La  0.000  0.000  0.000
Nd  0.500  0.500  0.261
Nd  0.500  0.500  0.739
Br  0.000  0.000  0.500
O  0.000  0.500  0.156
O  0.000  0.500  0.844
O  0.500  0.000  0.156
O  0.500  0.000  0.844


# LiCeTl4
Computed X-ray diffraction stick pattern, λ = 1.5418 Å (Cu Kα). Input: a DFT-relaxed cell (PBE, Alexandria).

Largest 10 diffraction maxima, in order of falling intensity, 2θ = 5–70°:
2theta, d_spacing, intensity
35.02, 2.562, 100
26.82, 3.325, 62
38.29, 2.351, 51
22.11, 4.021, 33
67.12, 1.395, 31
29.06, 3.072, 29
51.72, 1.768, 25
44.65, 2.030, 22
64.34, 1.448, 21
33.43, 2.681, 21

a = 4.702 Å, b = 4.702 Å, c = 8.042 Å
α = 90.00°, β = 90.00°, γ = 90.00°
Sites, in units of the cell vectors:
Li  0.000  0.000  0.000
Ce  0.500  0.500  0.500
Tl  0.000  0.500  0.207
Tl  0.000  0.500  0.793
Tl  0.500  0.000  0.207
Tl  0.500  0.000  0.793


# Tb2SmTm12
Computed X-ray diffraction stick pattern, λ = 1.5418 Å (Cu Kα). Input: a DFT-relaxed cell (PBE, Alexandria).

Largest 10 diffraction maxima, in order of falling intensity, 2θ = 5–70°:
2theta, d_spacing, intensity
31.49, 2.841, 100
32.30, 2.771, 81
30.88, 2.895, 69
34.59, 2.593, 48
32.77, 2.733, 46
34.24, 2.619, 38
46.67, 1.946, 30
62.39, 1.488, 25
30.08, 2.971, 24
51.81, 1.765, 22

a = 6.571 Å, b = 6.571 Å, c = 23.837 Å
α = 92.30°, β = 92.30°, γ = 115.03°
Sites, in units of the cell vectors:
Tb  0.069  0.069  0.282
Tb  0.430  0.430  0.717
Tb  0.570  0.570  0.283
Tb  0.931  0.931  0.718
Sm  0.249  0.249  0.000
Sm  0.751  0.751  0.000
Tm  0.035  0.035  0.137
Tm  0.049  0.549  0.193
Tm  0.082  0.582  0.330
Tm  0.140  0.639  0.555
Tm  0.144  0.144  0.576
Tm  0.234  0.732  0.932
Tm  0.268  0.766  0.068
Tm  0.355  0.355  0.424
Tm  0.361  0.860  0.445
Tm  0.418  0.918  0.670
Tm  0.451  0.951  0.807
Tm  0.465  0.465  0.862
Tm  0.535  0.535  0.138
Tm  0.549  0.049  0.193
Tm  0.582  0.082  0.330
Tm  0.639  0.140  0.555
Tm  0.645  0.645  0.576
Tm  0.732  0.234  0.932
Tm  0.766  0.268  0.068
Tm  0.856  0.856  0.424
Tm  0.860  0.361  0.445
Tm  0.918  0.418  0.670
Tm  0.951  0.451  0.807
Tm  0.965  0.965  0.863


# ErTl2GaS4
Computed X-ray diffraction stick pattern, λ = 1.5418 Å (Cu Kα). Input: a DFT-relaxed cell (PBE, Alexandria).

Largest 10 diffraction maxima, in order of falling intensity, 2θ = 5–70°:
2theta, d_spacing, intensity
31.10, 2.876, 100
44.36, 2.042, 72
26.56, 3.356, 68
26.99, 3.304, 64
30.83, 2.900, 51
52.39, 1.746, 25
53.11, 1.724, 23
55.63, 1.652, 18
54.70, 1.678, 18
44.01, 2.057, 18

a = 8.169 Å, b = 8.169 Å, c = 8.169 Å
α = 121.04°, β = 119.51°, γ = 89.53°
Sites, in units of the cell vectors:
Er  0.000  0.000  0.000
Er  0.500  0.000  0.500
Tl  0.000  0.500  0.500
Tl  0.500  0.000  0.000
Tl  0.500  0.500  0.000
Tl  0.500  0.500  0.500
Ga  0.000  0.000  0.500
Ga  0.000  0.500  0.000
S  0.192  0.238  0.955
S  0.217  0.762  0.455
S  0.226  0.198  0.472
S  0.226  0.755  0.028
S  0.774  0.245  0.972
S  0.774  0.802  0.528
S  0.783  0.238  0.545
S  0.808  0.762  0.045


# Pr8Sm6Cd
Computed X-ray diffraction stick pattern, λ = 1.5418 Å (Cu Kα). Input: a DFT-relaxed cell (PBE, Alexandria).

Largest 10 diffraction maxima, in order of falling intensity, 2θ = 5–70°:
2theta, d_spacing, intensity
31.67, 2.826, 100
33.01, 2.714, 29
28.54, 3.127, 25
50.56, 1.805, 18
29.15, 3.063, 16
25.42, 3.504, 16
60.89, 1.521, 12
27.04, 3.298, 11
50.00, 1.824, 10
39.72, 2.269, 10

a = 9.553 Å, b = 9.553 Å, c = 6.595 Å
α = 90.00°, β = 90.00°, γ = 120.00°
Sites, in units of the cell vectors:
Pr  0.042  0.772  0.183
Pr  0.228  0.270  0.183
Pr  0.270  0.042  0.817
Pr  0.333  0.667  0.143
Pr  0.667  0.333  0.857
Pr  0.730  0.958  0.183
Pr  0.772  0.730  0.817
Pr  0.958  0.228  0.817
Sm  0.095  0.646  0.670
Sm  0.354  0.449  0.670
Sm  0.449  0.095  0.330
Sm  0.551  0.905  0.670
Sm  0.646  0.551  0.330
Sm  0.905  0.354  0.330
Cd  0.000  0.000  0.500


# CoRuCS
Computed X-ray diffraction stick pattern, λ = 1.5418 Å (Cu Kα). Input: a DFT-relaxed cell (PBE, Alexandria).

Largest 10 diffraction maxima, in order of falling intensity, 2θ = 5–70°:
2theta, d_spacing, intensity
32.18, 2.782, 100
33.48, 2.677, 81
54.40, 1.687, 60
38.84, 2.319, 32
43.14, 2.097, 26
65.39, 1.427, 21
67.69, 1.384, 21
18.05, 4.915, 18
45.67, 1.986, 17
46.65, 1.947, 17

a = 3.192 Å, b = 3.374 Å, c = 4.915 Å
α = 90.00°, β = 90.00°, γ = 90.00°
Sites, in units of the cell vectors:
Co  0.000  0.000  0.000
Ru  0.500  0.500  0.612
C  0.000  0.500  0.837
S  0.500  0.000  0.295


# Sr3C2
Computed X-ray diffraction stick pattern, λ = 1.5418 Å (Cu Kα). Input: a DFT-relaxed cell (PBE, Alexandria).

Largest 10 diffraction maxima, in order of falling intensity, 2θ = 5–70°:
2theta, d_spacing, intensity
26.51, 3.363, 100
25.91, 3.439, 48
34.00, 2.637, 35
15.11, 5.863, 34
49.42, 1.844, 28
26.25, 3.395, 27
34.40, 2.607, 27
40.88, 2.207, 21
40.29, 2.239, 20
40.61, 2.222, 18

a = 7.280 Å, b = 7.120 Å, c = 8.356 Å
α = 55.43°, β = 53.64°, γ = 70.92°
Sites, in units of the cell vectors:
Sr  0.000  0.000  0.000
Sr  0.128  0.715  0.449
Sr  0.250  0.250  0.250
Sr  0.542  0.801  0.535
Sr  0.715  0.128  0.708
Sr  0.801  0.542  0.122
C  0.093  0.879  0.696
C  0.554  0.918  0.157
C  0.879  0.093  0.332
C  0.918  0.554  0.371


# MgAl
Computed X-ray diffraction stick pattern, λ = 1.5418 Å (Cu Kα). Input: a DFT-relaxed cell (PBE, Alexandria).

Largest 6 diffraction maxima, in order of falling intensity, 2θ = 5–70°:
2theta, d_spacing, intensity
39.00, 2.309, 100
36.76, 2.445, 27
34.22, 2.620, 24
67.70, 1.384, 19
61.28, 1.513, 17
51.10, 1.788, 15

a = 10.484 Å, b = 4.890 Å, c = 6.049 Å
α = 90.00°, β = 90.00°, γ = 90.00°
Sites, in units of the cell vectors:
Mg  0.085  0.250  0.003
Mg  0.172  0.750  0.252
Mg  0.328  0.250  0.752
Mg  0.415  0.750  0.503
Mg  0.585  0.250  0.497
Mg  0.672  0.750  0.248
Mg  0.828  0.250  0.748
Mg  0.915  0.750  0.997
Al  0.081  0.250  0.505
Al  0.159  0.750  0.746
Al  0.341  0.250  0.246
Al  0.419  0.750  0.005
Al  0.581  0.250  0.995
Al  0.659  0.750  0.754
Al  0.841  0.250  0.254
Al  0.919  0.750  0.495


# Tb5NdY4
Computed X-ray diffraction stick pattern, λ = 1.5418 Å (Cu Kα). Input: a DFT-relaxed cell (PBE, Alexandria).

Largest 10 diffraction maxima, in order of falling intensity, 2θ = 5–70°:
2theta, d_spacing, intensity
29.77, 3.001, 100
27.61, 3.230, 61
34.67, 2.587, 55
39.82, 2.264, 46
33.23, 2.696, 46
54.11, 1.695, 31
30.77, 2.906, 30
37.35, 2.408, 28
28.11, 3.174, 25
56.70, 1.624, 21

a = 7.890 Å, b = 7.890 Å, c = 7.890 Å
α = 99.31°, β = 99.31°, γ = 132.56°
Sites, in units of the cell vectors:
Tb  0.000  0.000  0.000
Tb  0.498  0.580  0.625
Tb  0.580  0.955  0.082
Tb  0.873  0.498  0.918
Tb  0.955  0.873  0.375
Nd  0.455  0.455  0.000
Y  0.178  0.567  0.298
Y  0.268  0.880  0.702
Y  0.567  0.268  0.389
Y  0.880  0.178  0.611


# Hf8AlAu2
Computed X-ray diffraction stick pattern, λ = 1.5418 Å (Cu Kα). Input: a DFT-relaxed cell (PBE, Alexandria).

Largest 10 diffraction maxima, in order of falling intensity, 2θ = 5–70°:
2theta, d_spacing, intensity
38.51, 2.338, 100
35.66, 2.518, 79
33.43, 2.680, 66
36.13, 2.486, 49
33.16, 2.702, 49
27.69, 3.222, 48
38.16, 2.359, 38
36.82, 2.441, 34
68.84, 1.364, 27
42.49, 2.128, 27

a = 7.825 Å, b = 7.825 Å, c = 4.797 Å
α = 100.29°, β = 100.29°, γ = 119.86°
Sites, in units of the cell vectors:
Hf  0.094  0.310  0.610
Hf  0.216  0.784  0.000
Hf  0.310  0.094  0.610
Hf  0.392  0.392  0.197
Hf  0.608  0.608  0.803
Hf  0.690  0.906  0.390
Hf  0.784  0.216  0.000
Hf  0.906  0.690  0.390
Al  0.000  0.000  0.000
Au  0.307  0.693  0.500
Au  0.693  0.307  0.500